No. 1
The following is a theoretical X-ray powder pattern of Pr6Ho12Mg. It was derived from DFT lattice parameters and positions (PBE), using a wavelength of 1.5418 Å.
Lines closer than 0.1° are merged.

Atomic structure:
Cell: 13.0997 13.0997 12.9354 Å, 90.00 90.00 120.00°
Space group R-3m (No. 166, hexagonal axes)
Symmetry-distinct sites (fractional):
Pr 0.0914 0.1827 0.2736 (multiplicity 18)
Ho 0.0000 0.2616 0.5000 (multiplicity 18)
Ho 0.0483 0.5241 0.6175 (multiplicity 18)
Mg 0.0000 0.0000 0.5000 (multiplicity 3)

Top 10 peaks for 2θ from 10° to 90°, by angle:
| d_spacing | I (rel.) | index |
| --- | --- | --- |
| 6.550 | 28.0 | 1 1 0 |
| 3.574 | 21.7 | 1 2 2 |
| 3.110 | 33.4 | 1 0 4 |
| 2.843 | 84.7 | 0 3 3 |
| 2.829 | 48.1 | 3 1 2 |
| 2.770 | 100.0 | 4 0 1 |
| 2.597 | 24.5 | 0 4 2 |
| 2.552 | 23.7 | 3 2 1 |
| 1.873 | 24.2 | 3 0 6 |
| 1.616 | 21.8 | 4 3 4 |


No. 2
The following is a theoretical X-ray powder pattern of Pr3HoMg. It was derived from DFT lattice parameters and positions (PBE), using a wavelength of 1.5418 Å.
Lines closer than 0.1° are merged.

Atomic structure:
Cell: 22.964 3.570 8.616 Å, 90.00 108.06 90.00°
Space group C2/m (No. 12)
Symmetry-distinct sites (fractional):
Pr 0.018 0.000 0.225 (multiplicity 4)
Pr 0.122 0.500 0.033 (multiplicity 4)
Pr 0.176 0.000 0.443 (multiplicity 4)
Ho 0.235 0.500 0.821 (multiplicity 4)
Mg 0.076 0.500 0.599 (multiplicity 4)

Top 10 peaks for 2θ from 10° to 90°, by angle:
| d_spacing | I (rel.) | index |
| --- | --- | --- |
| 3.179 | 41.2 | 1 1 1 |
| 2.873 | 100.0 | 8 0 -1 |
| 2.855 | 43.9 | 3 1 1 |
| 2.816 | 38.3 | 4 0 -3 |
| 2.764 | 22.2 | 5 1 0 |
| 2.710 | 29.7 | 3 1 -2 |
| 2.533 | 24.8 | 5 1 -2 |
| 2.280 | 17.6 | 7 1 -2 |
| 1.734 | 24.5 | 1 1 4 |
| 1.516 | 32.7 | 8 2 -1 |


No. 3
The following is a theoretical X-ray powder pattern of Pr12Ho5Mg2. It was derived from DFT lattice parameters and positions (PBE), using a wavelength of 1.5418 Å.
Lines closer than 0.1° are merged.

Atomic structure:
Cell: 15.902 9.298 8.683 Å, 90.00 92.70 90.00°
Space group C2/m (No. 12)
Symmetry-distinct sites (fractional):
Pr 0.061 0.000 0.339 (multiplicity 4)
Pr 0.080 0.500 0.881 (multiplicity 4)
Pr 0.127 0.195 0.681 (multiplicity 8)
Pr 0.149 0.315 0.235 (multiplicity 8)
Ho 0.000 0.500 0.500 (multiplicity 2)
Ho 0.202 0.000 0.028 (multiplicity 4)
Ho 0.231 0.500 0.572 (multiplicity 4)
Mg 0.000 0.163 0.000 (multiplicity 4)

Top 10 peaks for 2θ from 10° to 90°, by angle:
| d_spacing | I (rel.) | index |
| --- | --- | --- |
| 3.171 | 40.9 | 0 2 2 |
| 3.019 | 34.8 | 4 2 0 |
| 2.981 | 34.6 | 2 2 -2 |
| 2.880 | 100.0 | 5 1 -1 |
| 2.862 | 71.5 | 4 0 2 |
| 2.741 | 52.9 | 1 1 -3 |
| 2.539 | 23.5 | 3 3 1 |
| 1.585 | 21.0 | 5 5 -1 |
| 1.560 | 17.4 | 1 5 -3 |
| 1.515 | 16.7 | 10 0 -2 |


No. 4
The following is a theoretical X-ray powder pattern of PrHoMg. It was derived from DFT lattice parameters and positions (PBE), using a wavelength of 1.5418 Å.
Lines closer than 0.1° are merged.

Atomic structure:
Cell: 5.589 3.827 8.891 Å, 90.00 106.71 90.00°
Space group Pm (No. 6)
Symmetry-distinct sites (fractional):
Pr 0.000 0.000 0.000 (multiplicity 1)
Pr 0.461 0.500 0.917 (multiplicity 1)
Ho 0.634 0.000 0.284 (multiplicity 1)
Ho 0.829 0.500 0.632 (multiplicity 1)
Mg 0.151 0.500 0.328 (multiplicity 1)
Mg 0.312 0.000 0.589 (multiplicity 1)

Top 10 peaks for 2θ from 10° to 90°, by angle:
| d_spacing | I (rel.) | index |
| --- | --- | --- |
| 5.265 | 23.4 | 1 0 -1 |
| 3.490 | 47.1 | 0 1 1 |
| 2.945 | 29.2 | 1 0 2 |
| 2.873 | 26.7 | 1 0 -3 |
| 2.839 | 43.0 | 0 0 3 |
| 2.794 | 54.2 | 2 0 -1 |
| 2.778 | 100.0 | 1 1 1 |
| 2.741 | 95.8 | 1 1 -2 |
| 1.860 | 24.0 | 0 1 4 |
| 1.617 | 24.0 | 3 1 0 |


No. 5
The following is a theoretical X-ray powder pattern of Pr4SmHo2Mg. It was derived from DFT lattice parameters and positions (PBE), using a wavelength of 1.5418 Å.
Lines closer than 0.1° are merged.

Atomic structure:
Cell: 5.813 5.822 7.830 Å, 90.00 90.00 90.00°
Space group Pmmm (No. 47)
Symmetry-distinct sites (fractional):
Pr 0.000 0.000 0.235 (multiplicity 2)
Pr 0.500 0.500 0.237 (multiplicity 2)
Sm 0.000 0.500 0.500 (multiplicity 1)
Ho 0.000 0.500 0.000 (multiplicity 1)
Ho 0.500 0.000 0.500 (multiplicity 1)
Mg 0.500 0.000 0.000 (multiplicity 1)

Top 10 peaks for 2θ from 10° to 90°, by angle:
| d_spacing | I (rel.) | index |
| --- | --- | --- |
| 4.670 | 6.8 | 1 0 1 |
| 2.909 | 54.4 | 2 0 0 |
| 2.836 | 100.0 | 1 1 2 |
| 2.057 | 20.3 | 2 2 0 |
| 1.957 | 8.2 | 0 0 4 |
| 1.665 | 41.2 | 3 1 2 |
| 1.624 | 18.0 | 2 0 4 |
| 1.418 | 11.4 | 2 2 4 |
| 1.301 | 9.2 | 4 2 0 |
| 1.294 | 8.8 | 3 3 2 |


No. 6
The following is a theoretical X-ray powder pattern of PrSm2Ho2Mg. It was derived from DFT lattice parameters and positions (PBE), using a wavelength of 1.5418 Å.
Lines closer than 0.1° are merged.

Atomic structure:
Cell: 5.540 18.951 3.700 Å, 90.00 90.00 90.00°
Space group Pnnm (No. 58)
Symmetry-distinct sites (fractional):
Pr 0.000 0.000 0.000 (multiplicity 2)
Sm 0.001 0.187 0.500 (multiplicity 4)
Ho 0.001 0.368 0.500 (multiplicity 4)
Mg 0.000 0.500 0.000 (multiplicity 2)

Top 10 peaks for 2θ from 10° to 90°, by angle:
| d_spacing | I (rel.) | index |
| --- | --- | --- |
| 3.158 | 35.2 | 0 6 0 |
| 3.128 | 100.0 | 1 5 0 |
| 3.077 | 62.5 | 1 0 1 |
| 2.926 | 87.8 | 1 2 1 |
| 2.770 | 71.2 | 2 0 0 |
| 2.580 | 89.1 | 1 4 1 |
| 2.185 | 31.3 | 0 7 1 |
| 1.715 | 29.7 | 2 7 1 |
| 1.592 | 27.6 | 1 5 2 |
| 1.538 | 24.1 | 2 0 2 |


No. 7
The following is a theoretical X-ray powder pattern of Tb4PrHo2Mg. It was derived from DFT lattice parameters and positions (PBE), using a wavelength of 1.5418 Å.
Lines closer than 0.1° are merged.

Atomic structure:
Cell: 5.805 5.805 7.432 Å, 90.00 90.00 90.00°
Space group P4/mmm (No. 123)
Symmetry-distinct sites (fractional):
Tb 0.000 0.500 0.247 (multiplicity 4)
Pr 0.000 0.000 0.000 (multiplicity 1)
Ho 0.000 0.000 0.500 (multiplicity 1)
Ho 0.500 0.500 0.500 (multiplicity 1)
Mg 0.500 0.500 0.000 (multiplicity 1)

Top 10 peaks for 2θ from 10° to 90°, by angle:
| d_spacing | I (rel.) | index |
| --- | --- | --- |
| 2.902 | 57.6 | 2 0 0 |
| 2.755 | 100.0 | 1 1 2 |
| 2.052 | 21.6 | 2 2 0 |
| 1.858 | 7.9 | 0 0 4 |
| 1.646 | 43.1 | 3 1 2 |
| 1.565 | 18.2 | 2 0 4 |
| 1.377 | 11.8 | 2 2 4 |
| 1.298 | 9.7 | 4 2 0 |
| 1.284 | 9.4 | 3 3 2 |
| 1.186 | 7.3 | 1 1 6 |


No. 8
The following is a theoretical X-ray powder pattern of Pr4Ho2TmMg. It was derived from DFT lattice parameters and positions (PBE), using a wavelength of 1.5418 Å.
Lines closer than 0.1° are merged.

Atomic structure:
Cell: 8.198 8.206 7.760 Å, 90.00 90.00 90.00°
Space group Cmmm (No. 65)
Symmetry-distinct sites (fractional):
Pr 0.250 0.250 0.242 (multiplicity 8)
Ho 0.000 0.000 0.000 (multiplicity 2)
Ho 0.000 0.500 0.500 (multiplicity 2)
Tm 0.000 0.000 0.500 (multiplicity 2)
Mg 0.000 0.500 0.000 (multiplicity 2)

Top 10 peaks for 2θ from 10° to 90°, by angle:
| d_spacing | I (rel.) | index |
| --- | --- | --- |
| 2.900 | 54.3 | 2 2 0 |
| 2.818 | 100.0 | 2 0 2 |
| 2.051 | 20.3 | 4 0 0 |
| 1.940 | 8.4 | 0 0 4 |
| 1.658 | 41.4 | 4 2 2 |
| 1.612 | 18.5 | 2 2 4 |
| 1.409 | 11.8 | 4 0 4 |
| 1.297 | 9.1 | 6 2 0 |
| 1.289 | 8.9 | 6 0 2 |
| 1.092 | 11.1 | 6 4 2 |


No. 9
The following is a theoretical X-ray powder pattern of Pr4Y2HoMg. It was derived from DFT lattice parameters and positions (PBE), using a wavelength of 1.5418 Å.
Lines closer than 0.1° are merged.

Atomic structure:
Cell: 5.113 5.113 10.073 Å, 90.00 90.00 90.00°
Space group P4/mmm (No. 123)
Symmetry-distinct sites (fractional):
Pr 0.000 0.500 0.246 (multiplicity 4)
Y 0.000 0.000 0.000 (multiplicity 1)
Y 0.500 0.500 0.500 (multiplicity 1)
Ho 0.000 0.000 0.500 (multiplicity 1)
Mg 0.500 0.500 0.000 (multiplicity 1)

Top 10 peaks for 2θ from 10° to 90°, by angle:
| d_spacing | I (rel.) | index |
| --- | --- | --- |
| 2.937 | 100.0 | 1 1 2 |
| 2.557 | 34.2 | 2 0 0 |
| 2.518 | 16.3 | 0 0 4 |
| 1.808 | 12.1 | 2 2 0 |
| 1.794 | 23.5 | 2 0 4 |
| 1.540 | 28.5 | 3 1 2 |
| 1.523 | 13.6 | 1 1 6 |
| 1.469 | 12.1 | 2 2 4 |
| 1.172 | 5.8 | 3 3 2 |
| 1.165 | 11.2 | 3 1 6 |


No. 10
The following is a theoretical X-ray powder pattern of Pr3Y6Ho2Mg. It was derived from DFT lattice parameters and positions (PBE), using a wavelength of 1.5418 Å.
Lines closer than 0.1° are merged.

Atomic structure:
Cell: 6.216 10.777 11.801 Å, 90.00 100.19 90.00°
Space group C2/m (No. 12)
Symmetry-distinct sites (fractional):
Pr 0.000 0.000 0.000 (multiplicity 2)
Pr 0.000 0.334 0.000 (multiplicity 4)
Y 0.246 0.334 0.743 (multiplicity 8)
Y 0.248 0.000 0.744 (multiplicity 4)
Ho 0.000 0.166 0.500 (multiplicity 4)
Mg 0.000 0.500 0.500 (multiplicity 2)

Top 10 peaks for 2θ from 10° to 90°, by angle:
| d_spacing | I (rel.) | index |
| --- | --- | --- |
| 2.929 | 100.0 | 1 3 1 |
| 2.904 | 32.0 | 0 0 4 |
| 2.531 | 66.0 | 2 0 2 |
| 1.795 | 23.5 | 0 6 0 |
| 1.784 | 22.6 | 2 0 -6 |
| 1.531 | 14.0 | 4 0 0 |
| 1.527 | 27.2 | 3 3 -5 |
| 1.520 | 13.2 | 1 3 -7 |
| 1.464 | 11.8 | 4 0 -4 |
| 1.165 | 11.3 | 5 3 -3 |


No. 11
The following is a theoretical X-ray powder pattern of HoPuMg. It was derived from DFT lattice parameters and positions (PBE), using a wavelength of 1.5418 Å.
Lines closer than 0.1° are merged.

Atomic structure:
Cell: 3.3836 3.3836 8.3813 Å, 90.00 90.00 120.00°
Space group P3m1 (No. 156)
Symmetry-distinct sites (fractional):
Ho 0.0000 0.0000 0.0000 (multiplicity 1)
Pu 0.3333 0.6667 0.6578 (multiplicity 1)
Mg 0.6667 0.3333 0.3286 (multiplicity 1)

Top 10 peaks for 2θ from 10° to 90°, by angle:
| d_spacing | I (rel.) | index |
| --- | --- | --- |
| 8.381 | 60.0 | 0 0 1 |
| 4.191 | 17.4 | 0 0 2 |
| 2.930 | 18.1 | 1 0 0 |
| 2.794 | 28.2 | 0 0 3 |
| 2.766 | 100.0 | 1 0 1 |
| 2.401 | 64.9 | 0 1 2 |
| 1.704 | 25.4 | 1 0 4 |
| 1.692 | 19.7 | 1 1 0 |
| 1.447 | 23.5 | 1 1 3 |
| 1.443 | 14.2 | 0 2 1 |


No. 12
The following is a theoretical X-ray powder pattern of Ho2PuMg6. It was derived from DFT lattice parameters and positions (PBE), using a wavelength of 1.5418 Å.
Lines closer than 0.1° are merged.

Atomic structure:
Cell: 9.1068 9.1068 3.1759 Å, 90.00 90.00 120.00°
Space group P6/mmm (No. 191)
Symmetry-distinct sites (fractional):
Ho 0.3333 0.6667 0.0000 (multiplicity 2)
Pu 0.0000 0.0000 0.0000 (multiplicity 1)
Mg 0.0000 0.3346 0.5000 (multiplicity 6)

Top 10 peaks for 2θ from 10° to 90°, by angle:
| d_spacing | I (rel.) | index |
| --- | --- | --- |
| 4.553 | 100.0 | 1 1 0 |
| 2.629 | 56.1 | 3 0 0 |
| 2.605 | 86.9 | 1 1 1 |
| 2.277 | 17.1 | 2 2 0 |
| 2.025 | 17.3 | 3 0 1 |
| 1.850 | 31.9 | 2 2 1 |
| 1.721 | 14.8 | 4 1 0 |
| 1.513 | 33.3 | 4 1 1 |
| 1.359 | 14.4 | 3 0 2 |
| 1.174 | 14.6 | 5 2 1 |